[1]
Diffraction record for Li4CdGa2Ag. The powder X-ray diffraction pattern is simulated, not measured: it uses the PBE geometry in OQMD and Cu Kα (weighted mean of Kα1 and Kα2).
Neutral-atom scattering factors, no anomalous dispersion.

Structure:
```
data_Li4CdGa2Ag
_cell_length_a 4.466
_cell_length_b 4.466
_cell_length_c 6.326
_cell_angle_alpha 90.00
_cell_angle_beta 90.00
_cell_angle_gamma 90.00
_space_group_name_H-M_alt 'P -4 m 2'
_space_group_IT_number 115
loop_
_space_group_symop_operation_xyz
'x,y,z'
'y,-x,-z'
'-x,-y,z'
'-y,x,-z'
'-x,y,z'
'-y,-x,-z'
'x,-y,z'
'y,x,-z'
loop_
_atom_site_label
_atom_site_fract_x
_atom_site_fract_y
_atom_site_fract_z
_atom_site_occupancy
Li1 0.000 0.000 0.000 1
Li2 0.000 0.500 0.742 1
Li3 0.500 0.500 0.500 1
Cd1 0.500 0.500 0.000 1
Ga1 0.000 0.500 0.262 1
Ag1 0.000 0.000 0.500 1
```

Top 10 peaks for 10° ≤ 2θ ≤ 90°, sorted by position:
| 2theta | I_rel | h k l |
| --- | --- | --- |
| 24.40 | 100 | 1 0 1 |
| 28.24 | 5 | 0 0 2 |
| 40.37 | 93 | 2 0 0 |
| 47.74 | 47 | 2 1 1 |
| 58.45 | 10 | 2 2 0 |
| 64.25 | 18 | 3 0 1 |
| 73.41 | 29 | 3 1 2 |
| 78.63 | 7 | 3 0 3 |
| 78.73 | 7 | 3 2 1 |
| 87.28 | 9 | 4 0 0 |

[2]
Diffraction record for DyY2Fe7Co2. The powder X-ray diffraction pattern is simulated, not measured: it uses the PBE geometry in OQMD and Cu Kα (weighted mean of Kα1 and Kα2).
Neutral-atom scattering factors, no anomalous dispersion.

Structure:
```
data_DyY2Fe7Co2
_cell_length_a 5.0643
_cell_length_b 5.0643
_cell_length_c 24.2769
_cell_angle_alpha 90.00
_cell_angle_beta 90.00
_cell_angle_gamma 120.00
_space_group_name_H-M_alt 'R -3 m'
_space_group_IT_number 166
_space_group_name_Hall '-R 3 2"'
loop_
_atom_site_label
_atom_site_fract_x
_atom_site_fract_y
_atom_site_fract_z
_atom_site_occupancy
Dy1 0.0000 0.0000 0.0000 1
Y1 0.0000 0.0000 0.1419 1
Fe1 0.0000 0.0000 0.5000 1
Fe2 0.0009 0.5005 0.0813 1
Co1 0.0000 0.0000 0.3326 1
```

Top 10 peaks for 10° ≤ 2θ ≤ 90°, sorted by position:
| 2theta | I_rel | h k l |
| --- | --- | --- |
| 32.93 | 34 | 1 0 7 |
| 35.45 | 42 | 1 1 0 |
| 35.99 | 28 | 0 1 8 |
| 41.34 | 35 | 0 2 1 |
| 41.86 | 14 | 2 0 2 |
| 42.10 | 100 | 1 1 6 |
| 44.80 | 17 | 0 0 12 |
| 45.38 | 11 | 2 0 5 |
| 68.21 | 22 | 0 3 6 |
| 75.02 | 19 | 2 2 0 |

[3]
Diffraction record for Nb2As. The powder X-ray diffraction pattern is simulated, not measured: it uses the PBE geometry in OQMD and Cu Kα (weighted mean of Kα1 and Kα2).
Neutral-atom scattering factors, no anomalous dispersion.

Structure:
```
data_Nb2As
_cell_length_a 18.639
_cell_length_b 3.527
_cell_length_c 14.279
_cell_angle_alpha 90.00
_cell_angle_beta 90.00
_cell_angle_gamma 90.00
_space_group_name_H-M_alt 'P m m a'
_space_group_IT_number 51
loop_
_space_group_symop_operation_xyz
'x,y,z'
'-x,-y,-z'
'-x+1/2,-y,z'
'x+1/2,y,-z'
'x+1/2,-y,-z'
'-x+1/2,y,z'
'-x,y,-z'
'x,-y,z'
loop_
_atom_site_label
_atom_site_fract_x
_atom_site_fract_y
_atom_site_fract_z
_atom_site_occupancy
Nb1 0.000 0.000 0.000 1
Nb2 0.000 0.500 0.500 1
Nb3 0.002 0.000 0.342 1
Nb4 0.062 0.500 0.159 1
Nb5 0.121 0.500 0.931 1
Nb6 0.151 0.000 0.497 1
Nb7 0.164 0.000 0.737 1
Nb8 0.167 0.000 0.259 1
Nb9 0.250 0.000 0.943 1
Nb10 0.250 0.500 0.120 1
Nb11 0.250 0.500 0.380 1
Nb12 0.250 0.500 0.611 1
As1 0.045 0.000 0.828 1
As2 0.105 0.500 0.365 1
As3 0.105 0.500 0.627 1
As4 0.144 0.000 0.069 1
As5 0.250 0.500 0.812 1
```

Top 10 peaks for 10° ≤ 2θ ≤ 90°, sorted by position:
| 2theta | I_rel | h k l |
| --- | --- | --- |
| 35.79 | 46 | 0 1 4 |
| 37.12 | 55 | 4 1 3 |
| 37.29 | 25 | 5 1 2 |
| 38.41 | 41 | 6 0 4 |
| 38.64 | 100 | 6 1 0 |
| 39.07 | 24 | 2 0 6 |
| 40.73 | 20 | 8 0 2 |
| 43.25 | 23 | 8 0 3 |
| 51.84 | 38 | 0 2 0 |
| 66.34 | 16 | 6 2 4 |

[4]
Diffraction record for TlNiPS5. The powder X-ray diffraction pattern is simulated, not measured: it uses the PBE geometry in OQMD and Cu Kα (weighted mean of Kα1 and Kα2).
Neutral-atom scattering factors, no anomalous dispersion.

Structure:
```
data_TlNiPS5
_cell_length_a 6.431
_cell_length_b 7.384
_cell_length_c 9.067
_cell_angle_alpha 109.75
_cell_angle_beta 97.41
_cell_angle_gamma 92.02
_space_group_name_H-M_alt 'P -1'
_space_group_IT_number 2
loop_
_space_group_symop_operation_xyz
'x,y,z'
'-x,-y,-z'
loop_
_atom_site_label
_atom_site_fract_x
_atom_site_fract_y
_atom_site_fract_z
_atom_site_occupancy
Tl1 0.210 0.190 0.432 1
Ni1 0.001 0.727 0.000 1
P1 0.220 0.620 0.273 1
S1 0.099 0.432 0.830 1
S2 0.102 0.966 0.911 1
S3 0.285 0.719 0.507 1
S4 0.313 0.349 0.163 1
S5 0.315 0.805 0.163 1
```

Top 10 peaks for 10° ≤ 2θ ≤ 90°, sorted by position:
| 2theta | I_rel | h k l |
| --- | --- | --- |
| 13.94 | 73 | 1 0 0 |
| 16.16 | 90 | 1 0 -1 |
| 19.76 | 47 | 1 -1 1 |
| 21.06 | 36 | 0 0 2 |
| 24.18 | 34 | 0 2 -1 |
| 25.73 | 40 | 0 2 0 |
| 27.08 | 100 | 0 2 -2 |
| 28.32 | 50 | 0 1 2 |
| 31.52 | 50 | 2 0 1 |
| 32.62 | 71 | -1 2 1 |

[5]
Diffraction record for TbDyMg2Ge2. The powder X-ray diffraction pattern is simulated, not measured: it uses the PBE geometry in OQMD and Cu Kα (weighted mean of Kα1 and Kα2).
Neutral-atom scattering factors, no anomalous dispersion.

Structure:
```
data_TbDyMg2Ge2
_cell_length_a 4.191
_cell_length_b 4.191
_cell_length_c 15.305
_cell_angle_alpha 90.00
_cell_angle_beta 90.00
_cell_angle_gamma 90.00
_space_group_name_H-M_alt 'I 4 m m'
_space_group_IT_number 107
_space_group_name_Hall 'I 4 -2'
loop_
_atom_site_label
_atom_site_fract_x
_atom_site_fract_y
_atom_site_fract_z
_atom_site_occupancy
Tb1 0.000 0.000 0.000 1
Dy1 0.000 0.000 0.339 1
Mg1 0.000 0.500 0.170 1
Ge1 0.000 0.000 0.534 1
Ge2 0.000 0.000 0.805 1
```

Top 10 peaks for 10° ≤ 2θ ≤ 90°, sorted by position:
| 2theta | I_rel | h k l |
| --- | --- | --- |
| 11.56 | 48 | 0 0 2 |
| 27.54 | 53 | 1 0 3 |
| 30.15 | 100 | 1 1 0 |
| 32.39 | 55 | 1 1 2 |
| 35.18 | 35 | 0 0 6 |
| 36.34 | 43 | 1 0 5 |
| 38.42 | 68 | 1 1 4 |
| 43.17 | 58 | 2 0 0 |
| 47.00 | 36 | 1 1 6 |
| 56.86 | 35 | 2 0 6 |

[6]
Diffraction record for NaLi2TaSe4. The powder X-ray diffraction pattern is simulated, not measured: it uses the PBE geometry in OQMD and Cu Kα (weighted mean of Kα1 and Kα2).
Neutral-atom scattering factors, no anomalous dispersion.

Structure:
```
data_NaLi2TaSe4
_cell_length_a 6.203
_cell_length_b 6.203
_cell_length_c 6.985
_cell_angle_alpha 90.00
_cell_angle_beta 90.00
_cell_angle_gamma 90.00
_space_group_name_H-M_alt 'P -4 2 m'
_space_group_IT_number 111
loop_
_space_group_symop_operation_xyz
'x,y,z'
'y,-x,-z'
'-x,-y,z'
'-y,x,-z'
'x,-y,-z'
'y,x,z'
'-x,y,-z'
'-y,-x,z'
loop_
_atom_site_label
_atom_site_fract_x
_atom_site_fract_y
_atom_site_fract_z
_atom_site_occupancy
Na1 0.000 0.000 0.000 1
Li1 0.000 0.500 0.500 1
Ta1 0.000 0.000 0.500 1
Se1 0.228 0.228 0.305 1
```

Top 10 peaks for 10° ≤ 2θ ≤ 90°, sorted by position:
| 2theta | I_rel | h k l |
| --- | --- | --- |
| 12.67 | 74 | 0 0 1 |
| 14.28 | 92 | 1 0 0 |
| 19.13 | 44 | 1 0 1 |
| 20.25 | 27 | 1 1 0 |
| 23.96 | 100 | 1 1 1 |
| 32.78 | 31 | 1 1 2 |
| 38.83 | 52 | 2 0 2 |
| 41.16 | 28 | 2 2 0 |
| 41.57 | 25 | 2 1 2 |
| 48.18 | 26 | 3 1 1 |

[7]
Diffraction record for HoTm2Mg4In2. The powder X-ray diffraction pattern is simulated, not measured: it uses the PBE geometry in OQMD and Cu Kα (weighted mean of Kα1 and Kα2).
Neutral-atom scattering factors, no anomalous dispersion.

Structure:
```
data_HoTm2Mg4In2
_cell_length_a 4.634
_cell_length_b 13.041
_cell_length_c 7.503
_cell_angle_alpha 90.00
_cell_angle_beta 90.00
_cell_angle_gamma 90.00
_space_group_name_H-M_alt 'A m m 2'
_space_group_IT_number 38
loop_
_space_group_symop_operation_xyz
'x,y,z'
'-x,-y,z'
'-x,y,z'
'x,-y,z'
'x,y+1/2,z+1/2'
'-x,-y+1/2,z+1/2'
'-x,y+1/2,z+1/2'
'x,-y+1/2,z+1/2'
loop_
_atom_site_label
_atom_site_fract_x
_atom_site_fract_y
_atom_site_fract_z
_atom_site_occupancy
Ho1 0.000 0.000 0.000 1
Tm1 0.000 0.219 0.656 1
Mg1 0.000 0.000 0.440 1
Mg2 0.500 0.000 0.681 1
Mg3 0.500 0.121 0.317 1
In1 0.500 0.167 0.937 1
```

Top 10 peaks for 10° ≤ 2θ ≤ 90°, sorted by position:
| 2theta | I_rel | h k l |
| --- | --- | --- |
| 13.60 | 54 | 0 2 0 |
| 23.67 | 15 | 0 3 1 |
| 27.40 | 21 | 0 4 0 |
| 30.63 | 88 | 1 0 2 |
| 33.65 | 100 | 1 2 2 |
| 36.49 | 19 | 0 4 2 |
| 38.87 | 24 | 2 0 0 |
| 54.39 | 18 | 2 4 2 |
| 54.51 | 17 | 1 7 1 |
| 65.63 | 14 | 2 2 4 |

[8]
Diffraction record for Co2Sb. The powder X-ray diffraction pattern is simulated, not measured: it uses the PBE geometry in OQMD and Cu Kα (weighted mean of Kα1 and Kα2).
Neutral-atom scattering factors, no anomalous dispersion.

Structure:
```
data_Co2Sb
_cell_length_a 3.788
_cell_length_b 3.788
_cell_length_c 6.055
_cell_angle_alpha 90.00
_cell_angle_beta 90.00
_cell_angle_gamma 90.00
_space_group_name_H-M_alt 'P 4/n m m'
_space_group_IT_number 129
loop_
_space_group_symop_operation_xyz
'x,y,z'
'-x,-y,-z'
'-y+1/2,x,z'
'y+1/2,-x,-z'
'-x+1/2,-y+1/2,z'
'x+1/2,y+1/2,-z'
'y,-x+1/2,z'
'-y,x+1/2,-z'
'x+1/2,-y,-z'
'-x+1/2,y,z'
'-y,-x,-z'
'y,x,z'
'-x,y+1/2,-z'
'x,-y+1/2,z'
'y+1/2,x+1/2,-z'
'-y+1/2,-x+1/2,z'
loop_
_atom_site_label
_atom_site_fract_x
_atom_site_fract_y
_atom_site_fract_z
_atom_site_occupancy
Co1 0.250 0.250 0.235 1
Co2 0.250 0.750 0.500 1
Sb1 0.250 0.250 0.807 1
```

Top 10 peaks for 10° ≤ 2θ ≤ 90°, sorted by position:
| 2theta | I_rel | h k l |
| --- | --- | --- |
| 27.78 | 22 | 1 0 1 |
| 33.45 | 38 | 1 1 0 |
| 36.69 | 49 | 1 1 1 |
| 38.05 | 17 | 1 0 2 |
| 44.91 | 19 | 0 0 3 |
| 45.20 | 100 | 1 1 2 |
| 48.03 | 55 | 2 0 0 |
| 67.86 | 21 | 2 0 3 |
| 70.28 | 16 | 2 2 0 |
| 87.59 | 27 | 3 1 2 |

[9]
Diffraction record for NdNi5Sn. The powder X-ray diffraction pattern is simulated, not measured: it uses the PBE geometry in OQMD and Cu Kα (weighted mean of Kα1 and Kα2).
Neutral-atom scattering factors, no anomalous dispersion.

Structure:
```
data_NdNi5Sn
_cell_length_a 4.9122
_cell_length_b 4.9122
_cell_length_c 19.7079
_cell_angle_alpha 90.00
_cell_angle_beta 90.00
_cell_angle_gamma 120.00
_space_group_name_H-M_alt 'P 63/m m c'
_space_group_IT_number 194
_space_group_name_Hall '-P 6c 2c'
loop_
_atom_site_label
_atom_site_fract_x
_atom_site_fract_y
_atom_site_fract_z
_atom_site_occupancy
Nd1 0.0000 0.0000 0.0000 1
Nd2 0.3333 0.6667 0.2500 1
Ni1 0.0000 0.0000 0.2500 1
Ni2 0.1660 0.3320 0.6461 1
Ni3 0.3333 0.6667 0.5432 1
Ni4 0.3333 0.6667 0.7500 1
Sn1 0.3333 0.6667 0.0871 1
```

Top 10 peaks for 10° ≤ 2θ ≤ 90°, sorted by position:
| 2theta | I_rel | h k l |
| --- | --- | --- |
| 34.50 | 68 | 1 0 6 |
| 36.59 | 100 | 1 1 0 |
| 38.34 | 43 | 1 0 7 |
| 41.06 | 66 | 1 1 4 |
| 42.76 | 51 | 2 0 1 |
| 46.14 | 60 | 1 1 6 |
| 46.50 | 22 | 2 0 4 |
| 46.65 | 22 | 1 0 9 |
| 64.51 | 32 | 2 1 6 |
| 77.77 | 35 | 2 2 0 |

[10]
Diffraction record for CsNbTl2S4. The powder X-ray diffraction pattern is simulated, not measured: it uses the PBE geometry in OQMD and Cu Kα (weighted mean of Kα1 and Kα2).
Neutral-atom scattering factors, no anomalous dispersion.

Structure:
```
data_CsNbTl2S4
_cell_length_a 7.784
_cell_length_b 7.784
_cell_length_c 8.472
_cell_angle_alpha 90.00
_cell_angle_beta 90.00
_cell_angle_gamma 90.00
_space_group_name_H-M_alt 'I -4 2 m'
_space_group_IT_number 121
_space_group_name_Hall 'I -4 2'
loop_
_atom_site_label
_atom_site_fract_x
_atom_site_fract_y
_atom_site_fract_z
_atom_site_occupancy
Cs1 0.000 0.000 0.000 1
Nb1 0.000 0.000 0.500 1
Tl1 0.000 0.500 0.000 1
S1 0.175 0.175 0.649 1
```

Top 10 peaks for 10° ≤ 2θ ≤ 90°, sorted by position:
| 2theta | I_rel | h k l |
| --- | --- | --- |
| 20.97 | 54 | 0 0 2 |
| 22.85 | 76 | 2 0 0 |
| 31.21 | 100 | 2 0 2 |
| 32.53 | 48 | 2 2 0 |
| 39.03 | 50 | 2 2 2 |
| 48.96 | 32 | 2 0 4 |
| 51.69 | 24 | 4 0 2 |
| 52.58 | 23 | 4 2 0 |
| 57.22 | 34 | 4 2 2 |
| 69.96 | 18 | 4 2 4 |

[11]
Diffraction record for Sm2Y2I5N. The powder X-ray diffraction pattern is simulated, not measured: it uses the PBE geometry in OQMD and Cu Kα (weighted mean of Kα1 and Kα2).
Neutral-atom scattering factors, no anomalous dispersion.

Structure:
```
data_Sm2Y2I5N
_cell_length_a 19.201
_cell_length_b 3.958
_cell_length_c 8.644
_cell_angle_alpha 90.00
_cell_angle_beta 102.59
_cell_angle_gamma 90.00
_space_group_name_H-M_alt 'C 1 2/m 1'
_space_group_IT_number 12
loop_
_space_group_symop_operation_xyz
'x,y,z'
'-x,-y,-z'
'-x,y,-z'
'x,-y,z'
'x+1/2,y+1/2,z'
'-x+1/2,-y+1/2,-z'
'-x+1/2,y+1/2,-z'
'x+1/2,-y+1/2,z'
loop_
_atom_site_label
_atom_site_fract_x
_atom_site_fract_y
_atom_site_fract_z
_atom_site_occupancy
Sm1 0.001 0.000 0.308 1
Y1 0.125 0.500 0.562 1
I1 0.000 0.500 0.000 1
I2 0.165 0.000 0.836 1
I3 0.168 0.000 0.327 1
N1 0.000 0.500 0.500 1
```

Top 10 peaks for 10° ≤ 2θ ≤ 90°, sorted by position:
| 2theta | I_rel | h k l |
| --- | --- | --- |
| 22.96 | 15 | 1 1 0 |
| 28.58 | 48 | 6 0 0 |
| 29.87 | 15 | 3 1 1 |
| 30.63 | 100 | 1 1 -2 |
| 32.92 | 33 | 5 1 0 |
| 41.80 | 14 | 2 0 -4 |
| 42.27 | 28 | 5 1 2 |
| 42.49 | 28 | 7 1 -2 |
| 45.85 | 19 | 0 2 0 |
| 54.92 | 15 | 6 2 0 |

[12]
Diffraction record for Li4MgCuSn2. The powder X-ray diffraction pattern is simulated, not measured: it uses the PBE geometry in OQMD and Cu Kα (weighted mean of Kα1 and Kα2).
Neutral-atom scattering factors, no anomalous dispersion.

Structure:
```
data_Li4MgCuSn2
_cell_length_a 4.565
_cell_length_b 4.565
_cell_length_c 6.576
_cell_angle_alpha 90.00
_cell_angle_beta 90.00
_cell_angle_gamma 90.00
_space_group_name_H-M_alt 'P -4 m 2'
_space_group_IT_number 115
loop_
_space_group_symop_operation_xyz
'x,y,z'
'y,-x,-z'
'-x,-y,z'
'-y,x,-z'
'-x,y,z'
'-y,-x,-z'
'x,-y,z'
'y,x,-z'
loop_
_atom_site_label
_atom_site_fract_x
_atom_site_fract_y
_atom_site_fract_z
_atom_site_occupancy
Li1 0.000 0.000 0.000 1
Li2 0.000 0.500 0.220 1
Li3 0.500 0.500 0.500 1
Mg1 0.000 0.000 0.500 1
Cu1 0.500 0.500 0.000 1
Sn1 0.000 0.500 0.768 1
```

Top 10 peaks for 10° ≤ 2θ ≤ 90°, sorted by position:
| 2theta | I_rel | h k l |
| --- | --- | --- |
| 23.72 | 100 | 1 0 1 |
| 27.63 | 12 | 1 1 0 |
| 39.10 | 56 | 1 1 2 |
| 39.48 | 29 | 2 0 0 |
| 45.92 | 16 | 1 0 3 |
| 46.58 | 34 | 2 1 1 |
| 57.06 | 10 | 2 2 0 |
| 62.13 | 13 | 2 1 3 |
| 70.60 | 9 | 2 0 4 |
| 71.35 | 19 | 3 1 2 |